# 1
# Na5HgPb2
Theoretical powder diffraction line list, Cu Kα (weighted mean of Kα1 and Kα2). Input: a cell relaxed with GGA-PBE.
Kinematic intensities with the Lorentz-polarization factor, no thermal factor.

Structure:
Cell: 8.775 8.775 8.775 Å, 120.03 120.03 89.95°
Fractional positions:
Na  0.000  0.000  0.000
Na  0.002  0.502  0.823
Na  0.179  0.002  0.500
Na  0.321  0.821  0.823
Na  0.498  0.321  0.500
Na  0.500  0.500  0.000
Na  0.502  0.679  0.500
Na  0.679  0.179  0.177
Na  0.821  0.998  0.500
Na  0.998  0.498  0.177
Hg  0.250  0.250  0.000
Hg  0.750  0.750  0.000
Pb  0.131  0.369  0.500
Pb  0.369  0.869  0.238
Pb  0.631  0.131  0.762
Pb  0.869  0.631  0.500

Principal peaks in the range 2θ = 10–90°, by intensity:
- 20.24 deg, rel. 100
- 31.42 deg, rel. 71
- 43.78 deg, rel. 71
- 23.79 deg, rel. 67
- 32.27 deg, rel. 67
- 28.77 deg, rel. 36
- 46.28 deg, rel. 34
- 43.13 deg, rel. 32
- 61.64 deg, rel. 29
- 63.64 deg, rel. 23

=====

# 2
# Na12HgPb2
Theoretical powder diffraction line list, Cu Kα (weighted mean of Kα1 and Kα2). Input: a cell relaxed with GGA-PBE.
Kinematic intensities with the Lorentz-polarization factor, no thermal factor.

Structure:
Cell: 6.704 6.704 23.502 Å, 90.00 90.00 90.00°
Fractional positions:
Na  0.000  0.000  0.086
Na  0.000  0.000  0.914
Na  0.000  0.500  0.086
Na  0.000  0.500  0.914
Na  0.070  0.570  0.431
Na  0.070  0.930  0.569
Na  0.250  0.250  0.190
Na  0.250  0.250  0.316
Na  0.250  0.250  0.684
Na  0.250  0.250  0.810
Na  0.430  0.570  0.569
Na  0.430  0.930  0.431
Na  0.500  0.000  0.086
Na  0.500  0.000  0.914
Na  0.500  0.500  0.086
Na  0.500  0.500  0.914
Na  0.570  0.070  0.569
Na  0.570  0.430  0.431
Na  0.750  0.750  0.190
Na  0.750  0.750  0.316
Na  0.750  0.750  0.684
Na  0.750  0.750  0.810
Na  0.930  0.070  0.431
Na  0.930  0.430  0.569
Hg  0.250  0.750  0.000
Hg  0.750  0.250  0.000
Pb  0.250  0.750  0.203
Pb  0.250  0.750  0.797
Pb  0.750  0.250  0.203
Pb  0.750  0.250  0.797

Principal peaks in the range 2θ = 10–90°, by intensity:
- 26.71 deg, rel. 100
- 18.72 deg, rel. 84
- 32.82 deg, rel. 70
- 19.10 deg, rel. 54
- 18.88 deg, rel. 49
- 47.02 deg, rel. 43
- 24.12 deg, rel. 42
- 26.59 deg, rel. 41
- 42.69 deg, rel. 41
- 37.96 deg, rel. 41

=====

# 3
# Na4Hg4Pb
Theoretical powder diffraction line list, Cu Kα (weighted mean of Kα1 and Kα2). Input: a cell relaxed with GGA-PBE.
Kinematic intensities with the Lorentz-polarization factor, no thermal factor.

Structure:
Cell: 9.093 5.547 11.727 Å, 90.00 125.58 90.00°
Fractional positions:
Na  0.129  0.249  0.036
Na  0.129  0.751  0.536
Na  0.247  0.252  0.809
Na  0.247  0.748  0.309
Na  0.753  0.252  0.691
Na  0.753  0.748  0.191
Na  0.871  0.249  0.464
Na  0.871  0.751  0.964
Hg  0.329  0.251  0.580
Hg  0.329  0.749  0.080
Hg  0.458  0.248  0.367
Hg  0.458  0.752  0.867
Hg  0.542  0.248  0.133
Hg  0.542  0.752  0.633
Hg  0.671  0.251  0.920
Hg  0.671  0.749  0.420
Pb  0.000  0.248  0.250
Pb  0.000  0.752  0.750

Principal peaks in the range 2θ = 10–90°, by intensity:
- 34.46 deg, rel. 100
- 34.70 deg, rel. 89
- 32.04 deg, rel. 56
- 32.28 deg, rel. 55
- 11.97 deg, rel. 50
- 46.12 deg, rel. 45
- 58.98 deg, rel. 39
- 18.88 deg, rel. 38
- 18.50 deg, rel. 26
- 58.51 deg, rel. 22

=====

# 4
# Na6Hg6Pb
Theoretical powder diffraction line list, Cu Kα (weighted mean of Kα1 and Kα2). Input: a cell relaxed with GGA-PBE.
Kinematic intensities with the Lorentz-polarization factor, no thermal factor.

Structure:
Cell: 6.400 6.400 10.602 Å, 90.00 90.00 122.59°
Fractional positions:
Na  0.000  0.000  0.183
Na  0.000  0.000  0.817
Na  0.337  0.663  0.500
Na  0.338  0.662  0.000
Na  0.662  0.338  0.000
Na  0.663  0.337  0.500
Hg  0.000  0.500  0.253
Hg  0.000  0.500  0.747
Hg  0.500  0.000  0.253
Hg  0.500  0.000  0.747
Hg  0.500  0.500  0.253
Hg  0.500  0.500  0.747
Pb  0.000  0.000  0.500

Principal peaks in the range 2θ = 10–90°, by intensity:
- 16.72 deg, rel. 100
- 33.23 deg, rel. 90
- 37.42 deg, rel. 76
- 48.14 deg, rel. 60
- 23.53 deg, rel. 57
- 31.88 deg, rel. 49
- 33.82 deg, rel. 48
- 36.21 deg, rel. 43
- 32.71 deg, rel. 42
- 47.14 deg, rel. 41

=====

# 5
# Na3Hg7Pb
Theoretical powder diffraction line list, Cu Kα (weighted mean of Kα1 and Kα2). Input: a cell relaxed with GGA-PBE.
Kinematic intensities with the Lorentz-polarization factor, no thermal factor.

Structure:
Cell: 12.396 12.396 11.928 Å, 90.00 90.00 160.54°
Fractional positions:
Na  0.139  0.861  0.580
Na  0.139  0.861  0.920
Na  0.173  0.827  0.250
Na  0.827  0.173  0.750
Na  0.861  0.139  0.080
Na  0.861  0.139  0.420
Hg  0.271  0.729  0.586
Hg  0.271  0.729  0.914
Hg  0.303  0.697  0.250
Hg  0.398  0.602  0.607
Hg  0.398  0.602  0.893
Hg  0.459  0.541  0.112
Hg  0.459  0.541  0.388
Hg  0.541  0.459  0.612
Hg  0.541  0.459  0.888
Hg  0.602  0.398  0.107
Hg  0.602  0.398  0.393
Hg  0.697  0.303  0.750
Hg  0.729  0.271  0.086
Hg  0.729  0.271  0.414
Pb  0.032  0.968  0.250
Pb  0.968  0.032  0.750

Principal peaks in the range 2θ = 10–90°, by intensity:
- 37.15 deg, rel. 100
- 34.27 deg, rel. 80
- 31.23 deg, rel. 69
- 21.52 deg, rel. 43
- 58.22 deg, rel. 31
- 43.18 deg, rel. 30
- 26.75 deg, rel. 27
- 33.41 deg, rel. 23
- 64.82 deg, rel. 22
- 40.58 deg, rel. 20

=====

# 6
# Na7HgPb2
Theoretical powder diffraction line list, Cu Kα (weighted mean of Kα1 and Kα2). Input: a cell relaxed with GGA-PBE.
Kinematic intensities with the Lorentz-polarization factor, no thermal factor.

Structure:
Cell: 7.949 7.949 7.949 Å, 60.00 60.00 60.00°
Fractional positions:
Na  0.000  0.000  0.000
Na  0.252  0.252  0.748
Na  0.252  0.748  0.252
Na  0.252  0.748  0.748
Na  0.748  0.252  0.252
Na  0.748  0.252  0.748
Na  0.748  0.748  0.252
Hg  0.500  0.500  0.500
Pb  0.250  0.250  0.250
Pb  0.750  0.750  0.750

Principal peaks in the range 2θ = 10–90°, by intensity:
- 22.37 deg, rel. 100
- 39.26 deg, rel. 49
- 31.84 deg, rel. 38
- 45.65 deg, rel. 28
- 61.75 deg, rel. 27
- 51.41 deg, rel. 23
- 13.64 deg, rel. 18
- 88.75 deg, rel. 16
- 71.17 deg, rel. 13
- 27.48 deg, rel. 13

=====

# 7
# Na8Hg2Pb
Theoretical powder diffraction line list, Cu Kα (weighted mean of Kα1 and Kα2). Input: a cell relaxed with GGA-PBE.
Kinematic intensities with the Lorentz-polarization factor, no thermal factor.

Structure:
Cell: 5.554 7.186 9.582 Å, 111.77 106.82 90.20°
Fractional positions:
Na  0.000  0.000  0.000
Na  0.023  0.533  0.046
Na  0.223  0.043  0.451
Na  0.324  0.773  0.662
Na  0.432  0.255  0.867
Na  0.637  0.150  0.274
Na  0.662  0.661  0.321
Na  0.819  0.500  0.659
Hg  0.169  0.407  0.336
Hg  0.496  0.733  0.988
Pb  0.826  0.042  0.660

Principal peaks in the range 2θ = 10–90°, by intensity:
- 20.03 deg, rel. 100
- 20.21 deg, rel. 91
- 33.73 deg, rel. 72
- 22.48 deg, rel. 68
- 32.24 deg, rel. 33
- 24.78 deg, rel. 26
- 41.03 deg, rel. 25
- 31.76 deg, rel. 25
- 37.90 deg, rel. 25
- 37.98 deg, rel. 25

=====

# 8
# Na12Hg5Pb
Theoretical powder diffraction line list, Cu Kα (weighted mean of Kα1 and Kα2). Input: a cell relaxed with GGA-PBE.
Kinematic intensities with the Lorentz-polarization factor, no thermal factor.

Structure:
Cell: 8.974 8.974 8.974 Å, 117.05 111.75 100.07°
Fractional positions:
Na  0.046  0.833  0.212
Na  0.248  0.559  0.312
Na  0.248  0.936  0.688
Na  0.287  0.308  0.595
Na  0.287  0.692  0.978
Na  0.379  0.167  0.212
Na  0.621  0.833  0.788
Na  0.713  0.308  0.022
Na  0.713  0.692  0.405
Na  0.752  0.064  0.312
Na  0.752  0.441  0.688
Na  0.954  0.167  0.788
Hg  0.000  0.164  0.164
Hg  0.000  0.500  0.500
Hg  0.000  0.836  0.836
Hg  0.367  0.367  0.000
Hg  0.633  0.633  0.000
Pb  0.500  0.000  0.500

Principal peaks in the range 2θ = 10–90°, by intensity:
- 33.79 deg, rel. 100
- 17.62 deg, rel. 93
- 15.37 deg, rel. 50
- 43.67 deg, rel. 41
- 42.50 deg, rel. 36
- 34.68 deg, rel. 35
- 30.79 deg, rel. 33
- 22.30 deg, rel. 32
- 24.80 deg, rel. 30
- 23.46 deg, rel. 29